Diffraction record for RbLi2ClF2. The X-ray diffraction stick pattern is simulated, not measured: it uses a crystal structure in Alexandria, relaxed with PBE and Cu Kα (λ = 1.5418 Å).
Intensities are scaled so that the largest is 100.

Crystal structure
```
data_RbLi2ClF2
_symmetry_space_group_name_H-M 'P 1 21/m 1'
_symmetry_Int_Tables_number 11
_cell_length_a 6.303
_cell_length_b 5.273
_cell_length_c 7.623
_cell_angle_alpha 90.00
_cell_angle_beta 105.96
_cell_angle_gamma 90.00
loop_
_symmetry_equiv_pos_as_xyz
'x,y,z'
'-x,-y,-z'
'-x,y+1/2,-z'
'x,-y+1/2,z'
loop_
_atom_site_label
_atom_site_type_symbol
_atom_site_fract_x
_atom_site_fract_y
_atom_site_fract_z
_atom_site_occupancy
Rb1 Rb 0.163 0.250 0.344 1
Li1 Li 0.359 0.004 0.797 1
Cl1 Cl 0.313 0.750 0.054 1
F1 F 0.159 0.250 0.706 1
F2 F 0.393 0.750 0.648 1
```

Largest 10 diffraction maxima, in order of rising 2θ, 2θ from 10° to 80°:
(hkl)	two_theta	intensity
0 1 1	20.8	52
1 0 1	21.4	40
1 1 -1	23.4	100
0 1 2	29.7	86
0 2 0	34.0	55
2 1 0	34.1	92
1 1 2	36.2	28
0 0 3	36.8	31
2 1 -3	44.2	27
0 2 3	51.0	36